Record 1
# PuZrPa14
Calculated XRD peak list, Cu Kα. Input: a structure optimized by DFT (GGA-PBE).

Structure:
Lattice parameters (Å, degrees): 6.463 6.463 9.543 90.00 90.00 90.00
Space group P4/mmm (No. 123)
Asymmetric unit:
Pu  0.000  0.000  0.000 (multiplicity 1)
Zr  0.500  0.500  0.000 (multiplicity 1)
Pa  0.000  0.000  0.500 (multiplicity 1)
Pa  0.000  0.500  0.000 (multiplicity 2)
Pa  0.000  0.500  0.500 (multiplicity 2)
Pa  0.251  0.251  0.247 (multiplicity 8)
Pa  0.500  0.500  0.500 (multiplicity 1)

Top 6 peaks for 2θ from 5° to 70°, by intensity:
h k l, d_spacing, 2θ (°), Rel. int.
2 0 2, 2.676, 33.5, 100
2 2 0, 2.285, 39.4, 32
4 2 2, 1.383, 67.8, 27
2 2 4, 1.650, 55.7, 24
0 0 4, 2.386, 37.7, 18
2 0 6, 1.427, 65.4, 15

Record 2
# Sr5Ca2Hg
Calculated XRD peak list, Cu Kα. Input: a structure optimized by DFT (GGA-PBE).

Structure:
Lattice parameters (Å, degrees): 9.737 18.314 4.119 90.00 90.00 90.00
Space group Pbam (No. 55)
Asymmetric unit:
Sr  0.000  0.000  0.000 (multiplicity 2)
Sr  0.006  0.225  0.000 (multiplicity 4)
Sr  0.196  0.393  0.500 (multiplicity 4)
Ca  0.190  0.605  0.500 (multiplicity 4)
Hg  0.000  0.500  0.000 (multiplicity 2)

Top 6 peaks for 2θ from 5° to 70°, by intensity:
h k l, d_spacing, 2θ (°), Rel. int.
2 0 1, 3.145, 28.4, 100
2 4 0, 3.335, 26.7, 98
0 4 1, 3.062, 29.2, 95
1 1 0, 8.597, 10.3, 52
0 2 0, 9.157, 9.7, 41
2 4 2, 1.752, 52.2, 31

Record 3
# EuCl2
Calculated XRD peak list, Cu Kα. Input: a structure optimized by DFT (GGA-PBE).

Structure:
Lattice parameters (Å, degrees): 7.522 4.581 9.066 90.00 90.00 90.00
Space group Pnma (No. 62)
Asymmetric unit:
Eu  0.244  0.250  0.105 (multiplicity 4)
Cl  0.014  0.250  0.840 (multiplicity 4)
Cl  0.141  0.250  0.420 (multiplicity 4)

Top 6 peaks for 2θ from 5° to 70°, by intensity:
h k l, d_spacing, 2θ (°), Rel. int.
1 1 1, 3.592, 24.8, 100
1 0 2, 3.883, 22.9, 93
2 1 1, 2.768, 32.3, 89
0 1 3, 2.523, 35.6, 62
2 1 3, 2.095, 43.2, 56
0 1 1, 4.089, 21.7, 46

Record 4
# Sc3Al3Co2
Calculated XRD peak list, Cu Kα. Input: a structure optimized by DFT (GGA-PBE).

Structure:
Lattice parameters (Å, degrees): 7.017 14.540 5.421 90.00 90.00 90.00
Space group Pnma (No. 62)
Asymmetric unit:
Sc  0.035  0.110  0.101 (multiplicity 8)
Sc  0.169  0.250  0.646 (multiplicity 4)
Al  0.167  0.034  0.595 (multiplicity 8)
Al  0.172  0.750  0.636 (multiplicity 4)
Co  0.133  0.613  0.376 (multiplicity 8)

Top 6 peaks for 2θ from 5° to 70°, by intensity:
h k l, d_spacing, 2θ (°), Rel. int.
2 4 1, 2.289, 39.4, 100
1 3 2, 2.241, 40.2, 90
3 0 1, 2.148, 42.1, 69
1 4 2, 2.076, 43.6, 67
1 1 2, 2.491, 36.1, 67
2 4 0, 2.525, 35.6, 36

Record 5
# V4Fe3Ru2
Calculated XRD peak list, Cu Kα. Input: a structure optimized by DFT (GGA-PBE).

Structure:
Lattice parameters (Å, degrees): 4.1500 4.1500 7.7062 90.00 90.00 120.00
Space group P-3m1 (No. 164)
Asymmetric unit:
V  0.0000  0.0000  0.1615 (multiplicity 2)
V  0.3333  0.6667  0.6096 (multiplicity 2)
Fe  0.0000  0.0000  0.5000 (multiplicity 1)
Fe  0.3333  0.6667  0.9393 (multiplicity 2)
Ru  0.3333  0.6667  0.2807 (multiplicity 2)

Top 6 peaks for 2θ from 5° to 70°, by intensity:
h k l, d_spacing, 2θ (°), Rel. int.
0 1 3, 2.090, 43.3, 100
1 1 0, 2.075, 43.6, 97
2 0 3, 1.472, 63.1, 30
1 0 1, 3.257, 27.4, 14
1 0 2, 2.628, 34.1, 7
1 0 0, 3.594, 24.8, 4